Record 1
Pu6CrRu5: simulated X-ray diffraction stick pattern (Cu Kα X-rays), based on a structure optimized by DFT (GGA-PBE).
Peak positions follow from Bragg's law for the DFT cell and can differ from measured ones.

Peak list (6 most intense, 2θ = 10–90°, low angle first)
d 3.348, 26.63 deg, rel. 21
d 2.475, 36.30 deg, rel. 100
d 2.466, 36.43 deg, rel. 34
d 2.360, 38.13 deg, rel. 32
d 2.343, 38.41 deg, rel. 31
d 2.268, 39.75 deg, rel. 42

a b c (Å): 4.535 6.991 8.262
angles (deg): 110.72 105.51 90.33
Fractional positions:
Pu 0.015 0.255 0.029
Pu 0.314 0.607 0.625
Pu 0.333 0.107 0.662
Pu 0.667 0.893 0.338
Pu 0.686 0.393 0.375
Pu 0.985 0.745 0.971
Cr 0.500 0.500 0.000
Ru 0.134 0.657 0.269
Ru 0.146 0.112 0.300
Ru 0.500 0.000 0.000
Ru 0.854 0.888 0.700
Ru 0.866 0.343 0.731


Record 2
TlSnI3: simulated X-ray diffraction stick pattern (Cu Kα X-rays), based on a structure optimized by DFT (GGA-PBE).
Peak positions follow from Bragg's law for the DFT cell and can differ from measured ones.

Peak list (6 most intense, 2θ = 10–90°, low angle first)
d 3.514, 25.35 deg, rel. 46
d 3.420, 26.05 deg, rel. 55
d 3.287, 27.13 deg, rel. 100
d 2.967, 30.12 deg, rel. 74
d 2.952, 30.27 deg, rel. 54
d 2.334, 38.57 deg, rel. 43

a b c (Å): 7.959 7.959 11.882
angles (deg): 90.00 90.00 146.19
Fractional positions:
Tl 0.248 0.752 0.750
Tl 0.752 0.248 0.250
Sn 0.500 0.500 0.000
Sn 0.500 0.500 0.500
I 0.140 0.860 0.056
I 0.140 0.860 0.444
I 0.424 0.576 0.250
I 0.576 0.424 0.750
I 0.860 0.140 0.556
I 0.860 0.140 0.944


Record 3
MgMo2S4: simulated X-ray diffraction stick pattern (Cu Kα X-rays), based on a structure optimized by DFT (GGA-PBE).
Peak positions follow from Bragg's law for the DFT cell and can differ from measured ones.

Peak list (6 most intense, 2θ = 10–90°, low angle first)
d 6.066, 14.60 deg, rel. 100
d 3.168, 28.17 deg, rel. 87
d 2.626, 34.14 deg, rel. 93
d 2.022, 44.83 deg, rel. 44
d 1.857, 49.05 deg, rel. 83
d 1.175, 82.04 deg, rel. 24

a b c (Å): 7.429 7.429 7.429
angles (deg): 60.00 60.00 60.00
Fractional positions:
Mg 0.125 0.125 0.125
Mg 0.875 0.875 0.875
Mo 0.000 0.500 0.500
Mo 0.500 0.000 0.500
Mo 0.500 0.500 0.000
Mo 0.500 0.500 0.500
S 0.261 0.261 0.261
S 0.261 0.261 0.717
S 0.261 0.717 0.261
S 0.283 0.739 0.739
S 0.717 0.261 0.261
S 0.739 0.283 0.739
S 0.739 0.739 0.283
S 0.739 0.739 0.739


> Number 3 is which compound?

MgMo2S4


Repeat the second record exactly.
TlSnI3: simulated X-ray diffraction stick pattern (Cu Kα X-rays), based on a structure optimized by DFT (GGA-PBE).
Peak positions follow from Bragg's law for the DFT cell and can differ from measured ones.

Peak list (6 most intense, 2θ = 10–90°, low angle first)
d 3.514, 25.35 deg, rel. 46
d 3.420, 26.05 deg, rel. 55
d 3.287, 27.13 deg, rel. 100
d 2.967, 30.12 deg, rel. 74
d 2.952, 30.27 deg, rel. 54
d 2.334, 38.57 deg, rel. 43

a b c (Å): 7.959 7.959 11.882
angles (deg): 90.00 90.00 146.19
Fractional positions:
Tl 0.248 0.752 0.750
Tl 0.752 0.248 0.250
Sn 0.500 0.500 0.000
Sn 0.500 0.500 0.500
I 0.140 0.860 0.056
I 0.140 0.860 0.444
I 0.424 0.576 0.250
I 0.576 0.424 0.750
I 0.860 0.140 0.556
I 0.860 0.140 0.944